Structure and theoretical powder X-ray diffraction pattern of LaPr2Mg3Ir3 (a DFT-relaxed cell (PBE, OQMD); Cu Kα, 1.54184 Å).

Structural model:
Cell: 4.1814 12.8864 7.4981 Å, 90.00 90.00 90.00°
Space group Amm2 (No. 38)
Unique sites:
La 0.0000 0.0000 0.0000 (multiplicity 2)
Pr 0.0000 0.2062 0.6199 (multiplicity 4)
Mg 0.5000 0.0000 0.6509 (multiplicity 2)
Mg 0.5000 0.1202 0.2957 (multiplicity 4)
Ir 0.0000 0.0000 0.4156 (multiplicity 2)
Ir 0.5000 0.1651 0.9164 (multiplicity 4)

Main lines, most intense first (10 to 90 degrees two-theta):
| two_theta | I/Imax | h k l |
| --- | --- | --- |
| 35.0 | 100 | 1 2 2 |
| 32.2 | 62 | 1 3 1 |
| 23.9 | 54 | 0 3 1 |
| 35.2 | 52 | 1 4 0 |
| 25.4 | 47 | 1 1 1 |
| 42.9 | 39 | 1 4 2 |
| 41.8 | 38 | 0 3 3 |
| 43.3 | 36 | 2 0 0 |
| 32.1 | 31 | 1 0 2 |
| 23.7 | 29 | 0 0 2 |

Structure and theoretical powder X-ray diffraction pattern of La2PrMg3Ir2Pt (a DFT-relaxed cell (PBE, OQMD); Cu Kα, 1.54184 Å).

Structural model:
Cell: 4.1473 13.1240 7.5248 Å, 90.00 90.00 90.00°
Space group Amm2 (No. 38)
Unique sites:
La 0.0000 0.2093 0.0000 (multiplicity 4)
Pr 0.0000 0.0000 0.6268 (multiplicity 2)
Mg 0.5000 0.0000 0.9672 (multiplicity 2)
Mg 0.5000 0.1195 0.3313 (multiplicity 4)
Ir 0.5000 0.1684 0.7130 (multiplicity 4)
Pt 0.0000 0.0000 0.2116 (multiplicity 2)

Main lines, most intense first (10 to 90 degrees two-theta):
| two_theta | I/Imax | h k l |
| --- | --- | --- |
| 35.0 | 100 | 1 2 2 |
| 32.1 | 80 | 1 0 2 |
| 23.5 | 53 | 0 3 1 |
| 34.9 | 48 | 1 4 0 |
| 25.4 | 43 | 1 2 0 |
| 42.5 | 35 | 1 5 1 |
| 41.5 | 34 | 0 3 3 |
| 43.6 | 32 | 2 0 0 |
| 50.2 | 26 | 2 3 1 |
| 23.6 | 25 | 0 0 2 |

Structure and theoretical powder X-ray diffraction pattern of La2Mo3Ir2 (a DFT-relaxed cell (PBE, OQMD); Cu Kα, 1.54184 Å).

Structural model:
Cell: 4.4754 4.4754 25.2232 Å, 90.00 90.00 120.00°
Space group R3m (No. 160, hexagonal axes)
Unique sites:
La 0.0000 0.0000 0.0000 (multiplicity 3)
La 0.0000 0.0000 0.4367 (multiplicity 3)
Mo 0.0000 0.0000 0.2792 (multiplicity 3)
Mo 0.0000 0.0000 0.5761 (multiplicity 3)
Mo 0.0000 0.0000 0.8680 (multiplicity 3)
Ir 0.0000 0.0000 0.1784 (multiplicity 3)
Ir 0.0000 0.0000 0.6900 (multiplicity 3)

Main lines, most intense first (10 to 90 degrees two-theta):
| two_theta | I/Imax | h k l |
| --- | --- | --- |
| 40.3 | 100 | 1 1 0 |
| 34.0 | 75 | 1 0 7 |
| 27.0 | 36 | 1 0 4 |
| 42.8 | 26 | 1 0 10 |
| 60.4 | 22 | 1 1 12 |
| 53.7 | 20 | 0 2 7 |
| 69.2 | 18 | 2 1 7 |
| 73.3 | 17 | 3 0 0 |
| 36.7 | 17 | 0 1 8 |
| 46.0 | 16 | 1 1 6 |